Record 1
Structure and computed powder X-ray diffraction pattern of Mn23B3C3 (a crystal structure in the Materials Project, relaxed with GGA-PBE; copper Kα).
Kinematic intensities with the Lorentz-polarization factor, no thermal factor.

Cell and atoms:
Cell: 7.4081 7.4081 18.0721 Å, 90.00 90.00 120.00°
Space group R3m (No. 160, hexagonal axes)
Unique sites:
1 Mn 0.0000 0.0000 0.0000 (multiplicity 3)
2 Mn 0.0000 0.0000 0.1312 (multiplicity 3)
3 Mn 0.0000 0.0000 0.3898 (multiplicity 3)
4 Mn 0.0000 0.0000 0.6311 (multiplicity 3)
5 Mn 0.0000 0.0000 0.7617 (multiplicity 3)
6 Mn 0.0104 0.3385 0.7149 (multiplicity 18)
7 Mn 0.0148 0.5074 0.5103 (multiplicity 9)
8 Mn 0.1086 0.5543 0.9383 (multiplicity 9)
9 Mn 0.1761 0.3522 0.5897 (multiplicity 9)
10 Mn 0.2184 0.4368 0.1657 (multiplicity 9)
11 B 0.1821 0.3642 0.4726 (multiplicity 9)
12 C 0.0356 0.5178 0.6228 (multiplicity 9)

The 8 most intense peaks (10° ≤ 2θ ≤ 90°), by intensity:
2θ 45.00, intensity 1000, (3 0 3)
2θ 38.48, intensity 262, (1 1 6)
2θ 42.29, intensity 248, (2 1 4)
2θ 45.15, intensity 168, (0 0 9)
2θ 51.75, intensity 161, (1 1 9)
2θ 51.62, intensity 159, (1 3 1)
2θ 52.47, intensity 141, (0 3 6)
2θ 49.20, intensity 132, (2 2 0)

Record 2
Structure and computed powder X-ray diffraction pattern of Mn23B2C4 (a crystal structure in the Materials Project, relaxed with GGA-PBE; copper Kα).
Kinematic intensities with the Lorentz-polarization factor, no thermal factor.

Cell and atoms:
Cell: 7.365 10.460 7.366 Å, 90.00 90.00 90.00°
Space group Imm2 (No. 44)
Unique sites:
1 Mn 0.000 0.000 0.000 (multiplicity 2)
2 Mn 0.000 0.000 0.319 (multiplicity 2)
3 Mn 0.000 0.000 0.666 (multiplicity 2)
4 Mn 0.000 0.250 0.149 (multiplicity 4)
5 Mn 0.000 0.379 0.414 (multiplicity 4)
6 Mn 0.000 0.383 0.887 (multiplicity 4)
7 Mn 0.159 0.500 0.147 (multiplicity 4)
8 Mn 0.167 0.174 0.822 (multiplicity 8)
9 Mn 0.169 0.168 0.485 (multiplicity 8)
10 Mn 0.237 0.381 0.653 (multiplicity 8)
11 B 0.227 0.500 0.422 (multiplicity 4)
12 C 0.000 0.277 0.650 (multiplicity 4)
13 C 0.224 0.500 0.874 (multiplicity 4)

The 8 most intense peaks (10° ≤ 2θ ≤ 90°), by intensity:
2θ 45.19, intensity 1000, (3 3 0)
2θ 42.46, intensity 329, (3 2 1)
2θ 51.90, intensity 210, (1 1 4)
2θ 49.39, intensity 180, (2 4 2)
2θ 38.64, intensity 177, (1 0 3)
2θ 45.05, intensity 170, (0 5 1)
2θ 77.61, intensity 117, (3 6 3)
2θ 51.77, intensity 107, (1 5 2)

Record 3
Structure and computed powder X-ray diffraction pattern of BMo2C (a crystal structure in the Materials Project, relaxed with GGA-PBE; copper Kα).
Kinematic intensities with the Lorentz-polarization factor, no thermal factor.

Cell and atoms:
Cell: 3.115 17.541 3.077 Å, 90.00 90.00 90.00°
Space group Cmcm (No. 63)
Unique sites:
1 B 0.000 0.028 0.250 (multiplicity 4)
2 Mo 0.000 0.185 0.250 (multiplicity 4)
3 Mo 0.000 0.428 0.250 (multiplicity 4)
4 C 0.000 0.309 0.250 (multiplicity 4)

The 8 most intense peaks (10° ≤ 2θ ≤ 90°), by intensity:
2θ 35.64, intensity 1000, (0 4 1)
2θ 41.57, intensity 837, (1 1 1)
2θ 38.65, intensity 532, (1 5 0)
2θ 41.17, intensity 392, (0 8 0)
2θ 32.57, intensity 375, (1 3 0)
2θ 63.96, intensity 298, (1 9 1)
2θ 71.17, intensity 262, (2 4 1)
2θ 55.76, intensity 184, (1 7 1)

Record 4
Structure and computed powder X-ray diffraction pattern of BMoC (a crystal structure in the Materials Project, relaxed with GGA-PBE; copper Kα).
Kinematic intensities with the Lorentz-polarization factor, no thermal factor.

Cell and atoms:
Cell: 2.8305 2.8305 7.5440 Å, 90.00 90.00 120.00°
Space group P6_3/mmc (No. 194)
Unique sites:
1 B 0.3333 0.6667 0.2500 (multiplicity 2)
2 Mo 0.0000 0.0000 0.0000 (multiplicity 2)
3 C 0.3333 0.6667 0.7500 (multiplicity 2)

The 8 most intense peaks (10° ≤ 2θ ≤ 90°), by intensity:
2θ 44.06, intensity 1000, (1 0 2)
2θ 36.66, intensity 596, (1 0 0)
2θ 23.59, intensity 471, (0 0 2)
2θ 62.09, intensity 252, (1 0 4)
2θ 85.85, intensity 163, (1 1 4)
2θ 66.01, intensity 162, (1 1 0)
2θ 82.81, intensity 154, (2 0 2)
2θ 48.25, intensity 146, (0 0 4)

Record 5
Structure and computed powder X-ray diffraction pattern of TaB2Mo3C2 (a crystal structure in the Materials Project, relaxed with GGA-PBE; copper Kα).
Kinematic intensities with the Lorentz-polarization factor, no thermal factor.

Cell and atoms:
Cell: 3.100 3.135 17.581 Å, 90.00 90.00 90.00°
Space group Amm2 (No. 38)
Unique sites:
1 Ta 0.000 0.000 0.000 (multiplicity 2)
2 B 0.000 0.000 0.844 (multiplicity 2)
3 B 0.500 0.000 0.787 (multiplicity 2)
4 Mo 0.000 0.000 0.243 (multiplicity 2)
5 Mo 0.500 0.000 0.385 (multiplicity 2)
6 Mo 0.500 0.000 0.632 (multiplicity 2)
7 C 0.000 0.000 0.125 (multiplicity 2)
8 C 0.500 0.000 0.508 (multiplicity 2)

The 8 most intense peaks (10° ≤ 2θ ≤ 90°), by intensity:
2θ 35.43, intensity 1000, (1 0 4)
2θ 41.27, intensity 887, (1 1 1)
2θ 38.47, intensity 521, (0 1 5)
2θ 32.38, intensity 510, (0 1 3)
2θ 41.07, intensity 383, (0 0 8)
2θ 10.06, intensity 317, (0 0 2)
2θ 63.65, intensity 283, (1 1 9)
2θ 55.46, intensity 277, (1 1 7)

Record 6
Structure and computed powder X-ray diffraction pattern of NaBC4N4 (a crystal structure in the Materials Project, relaxed with GGA-PBE; copper Kα).
Kinematic intensities with the Lorentz-polarization factor, no thermal factor.

Cell and atoms:
Cell: 11.877 11.877 11.877 Å, 90.00 90.00 90.00°
Space group Fd-3m (No. 227, origin choice 2)
Unique sites:
1 Na 0.125 0.125 0.125 (multiplicity 8)
2 B 0.125 0.125 0.625 (multiplicity 8)
3 C 0.048 0.048 0.702 (multiplicity 32)
4 N 0.009 0.009 0.241 (multiplicity 32)

The 8 most intense peaks (10° ≤ 2θ ≤ 90°), by intensity:
2θ 25.99, intensity 1000, (2 2 2)
2θ 21.16, intensity 914, (2 2 0)
2θ 43.08, intensity 371, (4 4 0)
2θ 58.12, intensity 124, (6 4 2)
2θ 37.08, intensity 117, (4 2 2)
2θ 30.10, intensity 107, (4 0 0)
2θ 51.01, intensity 88, (6 2 2)
2θ 45.84, intensity 74, (4 4 2)

Record 7
Structure and computed powder X-ray diffraction pattern of RbBC2N2 (a crystal structure in the Materials Project, relaxed with GGA-PBE; copper Kα).
Kinematic intensities with the Lorentz-polarization factor, no thermal factor.

Cell and atoms:
Cell: 9.099 9.099 13.726 Å, 90.00 90.00 90.00°
Space group I4_1/a (No. 88, origin choice 2)
Unique sites:
1 Rb 0.000 0.000 0.000 (multiplicity 8)
2 B 0.000 0.000 0.500 (multiplicity 8)
3 C 0.126 0.408 0.482 (multiplicity 16)
4 N 0.086 0.018 0.786 (multiplicity 16)

The 8 most intense peaks (10° ≤ 2θ ≤ 90°), by intensity:
2θ 23.46, intensity 1000, (2 0 2)
2θ 11.67, intensity 691, (1 0 1)
2θ 22.79, intensity 651, (2 1 1)
2θ 27.73, intensity 589, (2 2 0)
2θ 25.97, intensity 538, (0 0 4)
2θ 38.35, intensity 424, (2 2 4)
2θ 46.56, intensity 392, (2 4 2)
2θ 39.61, intensity 312, (4 0 0)

Record 8
Structure and computed powder X-ray diffraction pattern of TlBC2N2 (a crystal structure in the Materials Project, relaxed with GGA-PBE; copper Kα).
Kinematic intensities with the Lorentz-polarization factor, no thermal factor.

Cell and atoms:
Cell: 9.001 9.001 13.292 Å, 90.00 90.00 90.00°
Space group I4_1/a (No. 88, origin choice 2)
Unique sites:
1 Tl 0.000 0.000 0.000 (multiplicity 8)
2 B 0.000 0.000 0.500 (multiplicity 8)
3 C 0.131 0.427 0.537 (multiplicity 16)
4 N 0.122 0.005 0.685 (multiplicity 16)

The 8 most intense peaks (10° ≤ 2θ ≤ 90°), by intensity:
2θ 23.88, intensity 1000, (2 0 2)
2θ 11.87, intensity 705, (1 0 1)
2θ 23.09, intensity 396, (2 1 1)
2θ 47.18, intensity 352, (2 4 2)
2θ 28.04, intensity 350, (2 2 0)
2θ 22.37, intensity 293, (1 0 3)
2θ 29.99, intensity 290, (2 1 3)
2θ 39.20, intensity 286, (2 2 4)

Record 9
Structure and computed powder X-ray diffraction pattern of NaBC4O8 (a crystal structure in the Materials Project, relaxed with GGA-PBE; copper Kα).
Kinematic intensities with the Lorentz-polarization factor, no thermal factor.

Cell and atoms:
Cell: 8.367 10.444 8.040 Å, 90.00 90.00 90.00°
Space group Cmcm (No. 63)
Unique sites:
1 Na 0.000 0.071 0.250 (multiplicity 4)
2 B 0.000 0.430 0.750 (multiplicity 4)
3 C 0.000 0.223 0.654 (multiplicity 8)
4 C 0.092 0.362 0.250 (multiplicity 8)
5 O 0.000 0.128 0.567 (multiplicity 8)
6 O 0.000 0.344 0.603 (multiplicity 8)
7 O 0.142 0.483 0.250 (multiplicity 8)
8 O 0.175 0.266 0.250 (multiplicity 8)

The 8 most intense peaks (10° ≤ 2θ ≤ 90°), by intensity:
2θ 21.24, intensity 1000, (2 0 0)
2θ 22.11, intensity 801, (0 0 2)
2θ 36.23, intensity 689, (1 1 3)
2θ 35.12, intensity 478, (3 1 1)
2θ 26.03, intensity 197, (1 1 2)
2θ 33.25, intensity 170, (3 1 0)
2θ 40.74, intensity 164, (2 4 0)
2θ 13.56, intensity 131, (1 1 0)

Record 10
Structure and computed powder X-ray diffraction pattern of NdNi2B2C (a crystal structure in the Materials Project, relaxed with GGA-PBE; copper Kα).
Kinematic intensities with the Lorentz-polarization factor, no thermal factor.

Cell and atoms:
Cell: 3.695 3.695 10.003 Å, 90.00 90.00 90.00°
Space group I4/mmm (No. 139)
Unique sites:
1 Nd 0.000 0.000 0.000 (multiplicity 2)
2 Ni 0.000 0.500 0.250 (multiplicity 4)
3 B 0.000 0.000 0.350 (multiplicity 4)
4 C 0.000 0.000 0.500 (multiplicity 2)

The 8 most intense peaks (10° ≤ 2θ ≤ 90°), by intensity:
2θ 38.89, intensity 1000, (1 1 2)
2θ 25.70, intensity 561, (1 0 1)
2θ 36.29, intensity 342, (1 0 3)
2θ 35.91, intensity 295, (0 0 4)
2θ 49.32, intensity 280, (2 0 0)
2θ 62.50, intensity 223, (2 0 4)
2θ 66.53, intensity 214, (1 1 6)
2θ 85.30, intensity 192, (3 1 2)

Record 11
Structure and computed powder X-ray diffraction pattern of NdB2Rh2C (a crystal structure in the Materials Project, relaxed with GGA-PBE; copper Kα).
Kinematic intensities with the Lorentz-polarization factor, no thermal factor.

Cell and atoms:
Cell: 3.877 3.877 10.276 Å, 90.00 90.00 90.00°
Space group I4/mmm (No. 139)
Unique sites:
1 Nd 0.000 0.000 0.000 (multiplicity 2)
2 B 0.000 0.000 0.354 (multiplicity 4)
3 Rh 0.000 0.500 0.250 (multiplicity 4)
4 C 0.000 0.000 0.500 (multiplicity 2)

The 8 most intense peaks (10° ≤ 2θ ≤ 90°), by intensity:
2θ 37.17, intensity 1000, (1 1 2)
2θ 34.94, intensity 481, (0 0 4)
2θ 24.54, intensity 329, (1 0 1)
2θ 59.76, intensity 318, (2 0 4)
2θ 46.86, intensity 282, (2 0 0)
2θ 64.11, intensity 211, (1 1 6)
2θ 80.54, intensity 204, (3 1 2)
2θ 79.20, intensity 121, (2 2 4)

Record 12
Structure and computed powder X-ray diffraction pattern of PrNi2B2C (a crystal structure in the Materials Project, relaxed with GGA-PBE; copper Kα).
Kinematic intensities with the Lorentz-polarization factor, no thermal factor.

Cell and atoms:
Cell: 3.726 3.726 9.958 Å, 90.00 90.00 90.00°
Space group I4/mmm (No. 139)
Unique sites:
1 Pr 0.000 0.000 0.000 (multiplicity 2)
2 Ni 0.000 0.500 0.250 (multiplicity 4)
3 B 0.000 0.000 0.350 (multiplicity 4)
4 C 0.000 0.000 0.500 (multiplicity 2)

The 8 most intense peaks (10° ≤ 2θ ≤ 90°), by intensity:
2θ 38.67, intensity 1000, (1 1 2)
2θ 25.53, intensity 549, (1 0 1)
2θ 36.25, intensity 333, (1 0 3)
2θ 36.08, intensity 287, (0 0 4)
2θ 48.89, intensity 284, (2 0 0)
2θ 62.25, intensity 223, (2 0 4)
2θ 66.60, intensity 210, (1 1 6)
2θ 84.51, intensity 192, (3 1 2)